(1)
Starting from a PBE-relaxed structure, the powder XRD pattern of ScAgO2 was computed for Cu Kα.
Kinematic intensities with the Lorentz-polarization factor, no thermal factor.

Crystal structure
Cell: 3.241 3.241 12.523 Å, 90.00 90.00 120.00°
Positions (direct):
Sc (0.000, 0.000, 0.000)
Sc (0.000, 0.000, 0.500)
Ag (0.333, 0.667, 0.250)
Ag (0.667, 0.333, 0.750)
O (0.333, 0.667, 0.082)
O (0.333, 0.667, 0.418)
O (0.667, 0.333, 0.582)
O (0.667, 0.333, 0.918)

Top 10 peaks for 10 to 90 degrees two-theta, most intense first:
- 2θ = 32.69°, d = 2.739 Å, intensity 100
- 2θ = 35.03°, d = 2.561 Å, intensity 56
- 2θ = 28.51°, d = 3.131 Å, intensity 38
- 2θ = 48.73°, d = 1.869 Å, intensity 31
- 2θ = 56.81°, d = 1.621 Å, intensity 26
- 2θ = 38.65°, d = 2.329 Å, intensity 24
- 2θ = 54.81°, d = 1.675 Å, intensity 22
- 2θ = 14.14°, d = 6.261 Å, intensity 21
- 2θ = 64.78°, d = 1.439 Å, intensity 21
- 2θ = 61.46°, d = 1.509 Å, intensity 14

=====

(2)
Starting from a PBE-relaxed structure, the powder XRD pattern of Ag2SeO4 was computed for Cu Kα.
Kinematic intensities with the Lorentz-polarization factor, no thermal factor.

Crystal structure
Cell: 6.002 6.458 7.077 Å, 78.63 64.91 62.31°
Positions (direct):
Ag (0.000, 0.000, 0.000)
Ag (0.147, 0.702, 0.510)
Ag (0.389, 0.212, 0.001)
Ag (0.752, 0.504, 0.503)
Se (0.449, 0.101, 0.501)
Se (0.691, 0.611, 0.012)
O (0.265, 0.290, 0.361)
O (0.291, 0.933, 0.664)
O (0.367, 0.786, 0.165)
O (0.428, 0.289, 0.657)
O (0.703, 0.431, 0.859)
O (0.769, 0.926, 0.361)
O (0.834, 0.780, 0.852)
O (0.870, 0.432, 0.156)

Top 10 peaks for 10 to 90 degrees two-theta, most intense first:
- 2θ = 28.60°, d = 3.121 Å, intensity 100
- 2θ = 32.96°, d = 2.718 Å, intensity 69
- 2θ = 27.84°, d = 3.205 Å, intensity 51
- 2θ = 45.23°, d = 2.005 Å, intensity 36
- 2θ = 34.90°, d = 2.571 Å, intensity 31
- 2θ = 52.58°, d = 1.740 Å, intensity 23
- 2θ = 20.82°, d = 4.267 Å, intensity 17
- 2θ = 52.12°, d = 1.755 Å, intensity 15
- 2θ = 46.08°, d = 1.970 Å, intensity 14
- 2θ = 42.90°, d = 2.108 Å, intensity 13

=====

(3)
Starting from a PBE-relaxed structure, the powder XRD pattern of Ag2SeO2 was computed for Cu Kα.
Kinematic intensities with the Lorentz-polarization factor, no thermal factor.

Crystal structure
Cell: 11.532 11.507 7.265 Å, 71.81 71.43 36.76°
Positions (direct):
Ag (0.188, 0.810, 0.759)
Ag (0.190, 0.812, 0.257)
Ag (0.241, 0.257, 0.812)
Ag (0.257, 0.241, 0.190)
Ag (0.743, 0.759, 0.810)
Ag (0.759, 0.743, 0.188)
Ag (0.810, 0.188, 0.743)
Ag (0.812, 0.190, 0.241)
Se (0.000, 0.500, 0.500)
Se (0.500, 0.000, 0.500)
Se (0.500, 0.500, 0.000)
Se (0.500, 0.500, 0.500)
O (0.036, 0.548, 0.711)
O (0.205, 0.711, 0.548)
O (0.289, 0.795, 0.964)
O (0.452, 0.964, 0.795)
O (0.548, 0.036, 0.205)
O (0.711, 0.205, 0.036)
O (0.795, 0.289, 0.452)
O (0.964, 0.452, 0.289)

Top 10 peaks for 10 to 90 degrees two-theta, most intense first:
- 2θ = 17.20°, d = 5.155 Å, intensity 100
- 2θ = 34.78°, d = 2.580 Å, intensity 22
- 2θ = 39.41°, d = 2.286 Å, intensity 20
- 2θ = 26.01°, d = 3.426 Å, intensity 18
- 2θ = 39.00°, d = 2.309 Å, intensity 14
- 2θ = 37.39°, d = 2.405 Å, intensity 11
- 2θ = 27.92°, d = 3.195 Å, intensity 9
- 2θ = 35.11°, d = 2.556 Å, intensity 9
- 2θ = 49.99°, d = 1.825 Å, intensity 8
- 2θ = 53.49°, d = 1.713 Å, intensity 8

=====

(4)
Starting from a PBE-relaxed structure, the powder XRD pattern of Ag2SeO4 was computed for Cu Kα.
Kinematic intensities with the Lorentz-polarization factor, no thermal factor.

Crystal structure
Cell: 8.589 7.077 6.458 Å, 78.63 53.88 47.49°
Positions (direct):
Ag (0.073, 0.677, 0.073)
Ag (0.323, 0.927, 0.323)
Ag (0.677, 0.073, 0.677)
Ag (0.927, 0.323, 0.927)
Se (0.375, 0.375, 0.375)
Se (0.625, 0.625, 0.625)
O (0.204, 0.697, 0.369)
O (0.230, 0.369, 0.697)
O (0.303, 0.796, 0.770)
O (0.369, 0.230, 0.204)
O (0.631, 0.770, 0.796)
O (0.697, 0.204, 0.230)
O (0.770, 0.631, 0.303)
O (0.796, 0.303, 0.631)

Top 10 peaks for 10 to 90 degrees two-theta, most intense first:
- 2θ = 28.60°, d = 3.121 Å, intensity 100
- 2θ = 32.96°, d = 2.718 Å, intensity 69
- 2θ = 27.84°, d = 3.205 Å, intensity 51
- 2θ = 45.23°, d = 2.005 Å, intensity 36
- 2θ = 34.90°, d = 2.571 Å, intensity 31
- 2θ = 52.58°, d = 1.740 Å, intensity 23
- 2θ = 20.82°, d = 4.267 Å, intensity 17
- 2θ = 52.12°, d = 1.755 Å, intensity 15
- 2θ = 46.08°, d = 1.970 Å, intensity 14
- 2θ = 42.90°, d = 2.108 Å, intensity 13